# Li4Co13O28
Simulated X-ray diffraction stick pattern, Cu Kα, 1.54184 Å. Input: a GGA+U-relaxed structure.

Cell and atoms:
Lattice parameters (Å, degrees): 7.478 8.120 8.608 100.22 104.30 104.95
Element x y z (fractional)
Li 0.000 0.000 0.000
Li 0.138 0.404 0.559
Li 0.298 0.851 0.154
Li 0.509 0.478 0.490
Co 0.002 0.483 0.985
Co 0.076 0.705 0.775
Co 0.153 0.926 0.558
Co 0.293 0.347 0.141
Co 0.364 0.563 0.921
Co 0.441 0.792 0.717
Co 0.507 0.001 0.495
Co 0.574 0.206 0.281
Co 0.652 0.424 0.069
Co 0.721 0.634 0.850
Co 0.791 0.848 0.632
Co 0.863 0.052 0.407
Co 0.941 0.280 0.211
O 0.022 0.264 0.018
O 0.057 0.923 0.753
O 0.095 0.483 0.797
O 0.114 0.133 0.545
O 0.172 0.698 0.596
O 0.201 0.375 0.322
O 0.247 0.901 0.386
O 0.271 0.570 0.106
O 0.320 0.132 0.148
O 0.344 0.786 0.901
O 0.384 0.346 0.953
O 0.420 0.006 0.685
O 0.448 0.559 0.728
O 0.518 0.221 0.474
O 0.521 0.771 0.526
O 0.562 0.432 0.261
O 0.584 0.979 0.300
O 0.630 0.642 0.038
O 0.672 0.207 0.098
O 0.713 0.863 0.825
O 0.737 0.412 0.880
O 0.777 0.067 0.600
O 0.805 0.627 0.656
O 0.853 0.281 0.400
O 0.881 0.839 0.441
O 0.922 0.051 0.219
O 0.924 0.500 0.177
O 0.998 0.717 0.966

The 10 most intense peaks (2θ from 10° to 90°), low angle first:
two_theta	I (rel.)	index
18.01	100	0 1 1
37.23	9	3 -1 0
37.39	9	2 1 -3
37.58	9	1 -3 2
44.30	15	3 0 1
44.57	15	2 0 -4
44.75	15	1 -4 1
48.45	5	-3 3 2
57.51	5	3 1 2
58.00	5	1 -5 0

# LiCo2O4
Simulated X-ray diffraction stick pattern, Cu Kα, 1.54184 Å. Input: a GGA+U-relaxed structure.

Cell and atoms:
Lattice parameters (Å, degrees): 4.820 2.843 9.840 90.00 99.58 90.00
Element x y z (fractional)
Li 0.248 0.000 0.251
Li 0.752 0.000 0.749
Co 0.000 0.000 0.500
Co 0.000 0.500 0.000
Co 0.500 0.000 0.000
Co 0.500 0.500 0.500
O 0.131 0.500 0.396
O 0.135 0.000 0.900
O 0.368 0.000 0.599
O 0.370 0.500 0.104
O 0.630 0.500 0.896
O 0.632 0.000 0.401
O 0.865 0.000 0.100
O 0.869 0.500 0.604

The 10 most intense peaks (2θ from 10° to 90°), low angle first:
two_theta	I (rel.)	index
18.29	100	0 0 2
37.23	20	1 1 -1
37.86	10	2 0 0
38.82	6	1 1 1
44.57	33	1 1 -3
45.19	16	2 0 2
48.63	6	1 1 3
58.16	10	1 1 -5
63.78	8	1 1 5
66.89	9	3 1 -1

# Li4Co13O28
Simulated X-ray diffraction stick pattern, Cu Kα, 1.54184 Å. Input: a GGA+U-relaxed structure.

Cell and atoms:
Lattice parameters (Å, degrees): 7.447 8.226 8.516 100.71 104.53 105.47
Element x y z (fractional)
Li 0.000 0.000 0.000
Li 0.082 0.238 0.784
Li 0.199 0.652 0.319
Li 0.780 0.370 0.643
Co 0.073 0.714 0.780
Co 0.146 0.937 0.564
Co 0.223 0.159 0.354
Co 0.287 0.367 0.132
Co 0.358 0.582 0.926
Co 0.432 0.800 0.712
Co 0.503 0.007 0.491
Co 0.570 0.211 0.268
Co 0.648 0.430 0.058
Co 0.719 0.646 0.853
Co 0.780 0.853 0.626
Co 0.854 0.068 0.411
Co 0.931 0.293 0.196
O 0.026 0.258 0.018
O 0.052 0.940 0.754
O 0.095 0.502 0.787
O 0.127 0.157 0.543
O 0.162 0.718 0.586
O 0.204 0.377 0.326
O 0.231 0.931 0.374
O 0.297 0.140 0.159
O 0.298 0.585 0.123
O 0.344 0.803 0.900
O 0.368 0.357 0.938
O 0.414 0.016 0.682
O 0.445 0.580 0.735
O 0.497 0.230 0.467
O 0.509 0.783 0.514
O 0.561 0.432 0.245
O 0.588 0.994 0.298
O 0.633 0.653 0.040
O 0.657 0.208 0.077
O 0.707 0.427 0.857
O 0.708 0.871 0.824
O 0.780 0.084 0.610
O 0.798 0.632 0.655
O 0.841 0.290 0.391
O 0.872 0.851 0.441
O 0.907 0.501 0.189
O 0.953 0.071 0.227
O 0.982 0.748 0.957

The 10 most intense peaks (2θ from 10° to 90°), low angle first:
two_theta	I (rel.)	index
18.18	100	0 1 1
37.23	9	1 -3 2
37.45	10	3 -1 0
37.57	10	2 1 -3
44.13	16	1 -4 1
44.90	15	3 0 1
45.00	15	2 0 -4
57.35	5	1 -5 0
63.20	8	2 4 0
66.54	8	5 0 -3

Please write out number 1 again, unchanged.
# Li4Co13O28
Simulated X-ray diffraction stick pattern, Cu Kα, 1.54184 Å. Input: a GGA+U-relaxed structure.

Cell and atoms:
Lattice parameters (Å, degrees): 7.478 8.120 8.608 100.22 104.30 104.95
Element x y z (fractional)
Li 0.000 0.000 0.000
Li 0.138 0.404 0.559
Li 0.298 0.851 0.154
Li 0.509 0.478 0.490
Co 0.002 0.483 0.985
Co 0.076 0.705 0.775
Co 0.153 0.926 0.558
Co 0.293 0.347 0.141
Co 0.364 0.563 0.921
Co 0.441 0.792 0.717
Co 0.507 0.001 0.495
Co 0.574 0.206 0.281
Co 0.652 0.424 0.069
Co 0.721 0.634 0.850
Co 0.791 0.848 0.632
Co 0.863 0.052 0.407
Co 0.941 0.280 0.211
O 0.022 0.264 0.018
O 0.057 0.923 0.753
O 0.095 0.483 0.797
O 0.114 0.133 0.545
O 0.172 0.698 0.596
O 0.201 0.375 0.322
O 0.247 0.901 0.386
O 0.271 0.570 0.106
O 0.320 0.132 0.148
O 0.344 0.786 0.901
O 0.384 0.346 0.953
O 0.420 0.006 0.685
O 0.448 0.559 0.728
O 0.518 0.221 0.474
O 0.521 0.771 0.526
O 0.562 0.432 0.261
O 0.584 0.979 0.300
O 0.630 0.642 0.038
O 0.672 0.207 0.098
O 0.713 0.863 0.825
O 0.737 0.412 0.880
O 0.777 0.067 0.600
O 0.805 0.627 0.656
O 0.853 0.281 0.400
O 0.881 0.839 0.441
O 0.922 0.051 0.219
O 0.924 0.500 0.177
O 0.998 0.717 0.966

The 10 most intense peaks (2θ from 10° to 90°), low angle first:
two_theta	I (rel.)	index
18.01	100	0 1 1
37.23	9	3 -1 0
37.39	9	2 1 -3
37.58	9	1 -3 2
44.30	15	3 0 1
44.57	15	2 0 -4
44.75	15	1 -4 1
48.45	5	-3 3 2
57.51	5	3 1 2
58.00	5	1 -5 0